PmAl4Fe: theoretical powder diffraction line list (a wavelength of 1.5418 Å), based on a GGA-PBE-relaxed structure.
Kinematic intensities with the Lorentz-polarization factor, no thermal factor.

Main lines, low angle first (10° ≤ 2θ ≤ 90°):
| 2theta | I/Imax | h k l |
| --- | --- | --- |
| 22.00 | 450 | 0 1 0 |
| 23.27 | 510 | 2 0 0 |
| 28.55 | 534 | 1 0 2 |
| 32.24 | 521 | 2 1 0 |
| 34.86 | 543 | 2 1 1 |
| 36.33 | 1000 | 1 1 2 |

Cell lengths 7.645, 4.041, 6.852 Å; angles 90.00, 90.00, 90.00 degrees
Space group Pmma (No. 51)
Asymmetric unit:
Pm: 0.250 0.000 0.121 x2
Al: 0.000 0.000 0.500 x2
Al: 0.071 0.500 0.803 x4
Al: 0.250 0.500 0.463 x2
Fe: 0.250 0.000 0.689 x2

PrAl8Fe2: theoretical powder diffraction line list (a wavelength of 1.5418 Å), based on a GGA-PBE-relaxed structure.
Kinematic intensities with the Lorentz-polarization factor, no thermal factor.

Main lines, low angle first (10° ≤ 2θ ≤ 90°):
| 2theta | I/Imax | h k l |
| --- | --- | --- |
| 22.19 | 931 | 0 0 1 |
| 34.16 | 867 | 1 4 1 |
| 36.26 | 1000 | 3 3 1 |
| 37.01 | 430 | 4 1 1 |
| 45.20 | 516 | 0 0 2 |
| 46.31 | 411 | 2 7 0 |

Cell lengths 12.489, 14.454, 4.012 Å; angles 90.00, 90.00, 90.00 degrees
Space group Pbam (No. 55)
Asymmetric unit:
Pr: 0.161 0.182 0.000 x4
Al: 0.000 0.000 0.000 x2
Al: 0.000 0.500 0.500 x2
Al: 0.027 0.868 0.500 x4
Al: 0.047 0.322 0.500 x4
Al: 0.094 0.747 0.000 x4
Al: 0.158 0.620 0.500 x4
Al: 0.162 0.454 0.000 x4
Al: 0.168 0.007 0.500 x4
Al: 0.235 0.830 0.500 x4
Fe: 0.035 0.593 0.000 x4
Fe: 0.150 0.902 0.000 x4

Pr3AlFeS7: theoretical powder diffraction line list (a wavelength of 1.5418 Å), based on a GGA-PBE-relaxed structure.
Kinematic intensities with the Lorentz-polarization factor, no thermal factor.

Main lines, low angle first (10° ≤ 2θ ≤ 90°):
| 2theta | I/Imax | h k l |
| --- | --- | --- |
| 17.90 | 668 | 0 1 1 |
| 22.99 | 491 | 1 1 1 |
| 25.15 | 1000 | 0 1 2 |
| 25.22 | 502 | 2 1 -2 |
| 36.27 | 706 | 2 2 -2 |
| 40.12 | 446 | 4 1 -1 |

Cell lengths 10.071, 6.009, 10.115 Å; angles 90.00, 119.71, 90.00 degrees
Space group P2_1 (No. 4)
Asymmetric unit:
Pr: 0.127 0.000 0.359 x2
Pr: 0.267 0.500 0.123 x2
Pr: 0.360 0.500 0.732 x2
Al: 0.167 0.920 0.833 x2
Fe: 0.500 0.281 0.500 x2
S: 0.017 0.773 0.919 x2
S: 0.081 0.773 0.599 x2
S: 0.166 0.289 0.832 x2
S: 0.268 0.545 0.409 x2
S: 0.355 0.045 0.264 x2
S: 0.402 0.773 0.981 x2
S: 0.411 0.044 0.643 x2

AlFeRe6: theoretical powder diffraction line list (a wavelength of 1.5418 Å), based on a GGA-PBE-relaxed structure.
Kinematic intensities with the Lorentz-polarization factor, no thermal factor.

Main lines, low angle first (10° ≤ 2θ ≤ 90°):
| 2theta | I/Imax | h k l |
| --- | --- | --- |
| 21.44 | 617 | 2 0 0 |
| 37.60 | 1000 | 2 2 2 |
| 43.69 | 590 | 4 0 0 |
| 47.84 | 282 | 3 3 1 |
| 57.81 | 321 | 3 3 3 |
| 63.50 | 304 | 4 4 0 |

Cell lengths 8.287, 8.287, 8.287 Å; angles 90.00, 90.00, 90.00 degrees
Space group F-43m (No. 216)
Asymmetric unit:
Al: 0.000 0.000 0.000 x4
Fe: 0.250 0.250 0.250 x4
Re: 0.034 0.250 0.750 x24

Repeat the fourth record exactly.
AlFeRe6: theoretical powder diffraction line list (a wavelength of 1.5418 Å), based on a GGA-PBE-relaxed structure.
Kinematic intensities with the Lorentz-polarization factor, no thermal factor.

Main lines, low angle first (10° ≤ 2θ ≤ 90°):
| 2theta | I/Imax | h k l |
| --- | --- | --- |
| 21.44 | 617 | 2 0 0 |
| 37.60 | 1000 | 2 2 2 |
| 43.69 | 590 | 4 0 0 |
| 47.84 | 282 | 3 3 1 |
| 57.81 | 321 | 3 3 3 |
| 63.50 | 304 | 4 4 0 |

Cell lengths 8.287, 8.287, 8.287 Å; angles 90.00, 90.00, 90.00 degrees
Space group F-43m (No. 216)
Asymmetric unit:
Al: 0.000 0.000 0.000 x4
Fe: 0.250 0.250 0.250 x4
Re: 0.034 0.250 0.750 x24

Repeat the second record exactly.
PrAl8Fe2: theoretical powder diffraction line list (a wavelength of 1.5418 Å), based on a GGA-PBE-relaxed structure.
Kinematic intensities with the Lorentz-polarization factor, no thermal factor.

Main lines, low angle first (10° ≤ 2θ ≤ 90°):
| 2theta | I/Imax | h k l |
| --- | --- | --- |
| 22.19 | 931 | 0 0 1 |
| 34.16 | 867 | 1 4 1 |
| 36.26 | 1000 | 3 3 1 |
| 37.01 | 430 | 4 1 1 |
| 45.20 | 516 | 0 0 2 |
| 46.31 | 411 | 2 7 0 |

Cell lengths 12.489, 14.454, 4.012 Å; angles 90.00, 90.00, 90.00 degrees
Space group Pbam (No. 55)
Asymmetric unit:
Pr: 0.161 0.182 0.000 x4
Al: 0.000 0.000 0.000 x2
Al: 0.000 0.500 0.500 x2
Al: 0.027 0.868 0.500 x4
Al: 0.047 0.322 0.500 x4
Al: 0.094 0.747 0.000 x4
Al: 0.158 0.620 0.500 x4
Al: 0.162 0.454 0.000 x4
Al: 0.168 0.007 0.500 x4
Al: 0.235 0.830 0.500 x4
Fe: 0.035 0.593 0.000 x4
Fe: 0.150 0.902 0.000 x4

- What is the formula in the third record?
  Pr3AlFeS7

- Number 2 is which compound?
  PrAl8Fe2